Record 1
Theoretical X-ray diffraction stick pattern of Er3ScPd2 for Cu Kα X-rays, from a structure optimized by DFT (GGA-PBE).
No peak broadening, texture or thermal motion is included.

Structural model:
Unit cell a=4.002 b=4.830 c=14.820 alpha=90.00 beta=90.00 gamma=90.00
Space group Immm (No. 71)
Inequivalent atoms, fractional coordinates:
Er 0.000 0.000 0.000 (multiplicity 2)
Er 0.000 0.500 0.317 (multiplicity 4)
Sc 0.000 0.000 0.500 (multiplicity 2)
Pd 0.000 0.500 0.129 (multiplicity 4)

Peak list (10 most intense, 2θ = 5–70°, most intense first)
index	Position (°2θ)	intensity
1 1 2	31.44	100
1 1 4	37.98	66
0 1 5	35.54	53
0 2 0	37.23	47
1 1 0	28.97	36
2 0 0	45.32	27
2 1 5	58.87	25
1 0 3	28.71	23
0 0 6	36.37	23
2 2 0	60.04	23

---

Record 2
Theoretical X-ray diffraction stick pattern of ErScTlPd for Cu Kα X-rays, from a structure optimized by DFT (GGA-PBE).
No peak broadening, texture or thermal motion is included.

Structural model:
Unit cell a=3.481 b=3.481 c=7.349 alpha=90.00 beta=90.00 gamma=90.00
Space group P4mm (No. 99)
Inequivalent atoms, fractional coordinates:
Er 0.000 0.000 0.000 (multiplicity 1)
Sc 0.000 0.000 0.557 (multiplicity 1)
Tl 0.500 0.500 0.297 (multiplicity 1)
Pd 0.500 0.500 0.754 (multiplicity 1)

Peak list (10 most intense, 2θ = 5–70°, most intense first)
index	Position (°2θ)	intensity
1 0 2	35.53	100
1 1 0	36.51	51
2 1 2	65.08	34
1 0 1	28.37	30
2 0 0	52.59	18
1 1 4	63.15	14
1 1 3	52.72	12
0 0 1	12.04	11
0 0 3	36.69	8
1 0 5	69.41	8